# KBa2Cd2Sb3
Calculated X-ray diffraction stick pattern, Cu Kα (λ = 1.5418 Å). Input: a DFT-relaxed cell (GGA-PBE, OQMD).
Neutral-atom scattering factors, no anomalous dispersion.

The 8 most intense peaks (2θ from 10° to 90°), in order of falling intensity:
| Position (°2θ) | I/Imax | index |
| --- | --- | --- |
| 28.5 | 100 | 1 1 4 |
| 34.4 | 71 | 3 1 4 |
| 27.5 | 69 | 3 1 1 |
| 36.0 | 57 | 0 2 0 |
| 38.0 | 32 | 4 0 5 |
| 26.9 | 32 | 4 0 0 |
| 30.8 | 24 | 2 1 4 |
| 29.0 | 20 | 4 0 2 |

Crystal structure
a b c (Å): 13.2503 4.9924 16.9070
angles (deg): 90.00 90.00 90.00
Space group Pnma (No. 62)
Inequivalent atoms, fractional coordinates:
K (0.1005, 0.2500, 0.0537) x4
Ba (0.1000, 0.7500, 0.4284) x4
Ba (0.1279, 0.2500, 0.7894) x4
Cd (0.1355, 0.2500, 0.2833) x4
Cd (0.1951, 0.2500, 0.5835) x4
Sb (0.0785, 0.7500, 0.6351) x4
Sb (0.1340, 0.7500, 0.1961) x4
Sb (0.2117, 0.7500, 0.9245) x4